(1)
For Li4V2Ni3Sb3O16, the PBE+U geometry in the Materials Project gives the calculated PXRD pattern in this record (a wavelength of 1.5418 Å).
No peak broadening, texture or thermal motion is included.

Most intense lines, 15° ≤ 2θ ≤ 90°, by angle:
2θ (°)  d [Å]  I_rel  h k l
18.2  4.866  100  0 0 2
19.0  4.674  67  2 0 -1
19.2  4.616  20  1 1 1
34.0  2.638  20  2 2 0
35.1  2.556  52  4 0 -1
35.3  2.540  32  2 2 1
38.6  2.333  19  2 2 -2
43.9  2.061  28  2 2 -3
44.5  2.035  22  2 2 3
60.9  1.521  25  6 2 0

Structure:
Unit cell a=10.534 b=6.103 c=9.735 alpha=90.00 beta=91.50 gamma=90.00
Space group Cm (No. 8)
Asymmetric unit:
Li1 0.000 0.000 0.000 [2 per cell]
Li2 0.014 0.000 0.519 [2 per cell]
Li3 0.201 0.500 0.902 [2 per cell]
Li4 0.350 0.000 0.419 [2 per cell]
V1 0.199 0.500 0.513 [2 per cell]
V2 0.383 0.000 0.980 [2 per cell]
Ni1 0.352 0.500 0.231 [2 per cell]
Ni2 0.442 0.256 0.722 [4 per cell]
Sb1 0.107 0.249 0.229 [4 per cell]
Sb2 0.196 0.000 0.728 [2 per cell]
O1 0.012 0.500 0.874 [2 per cell]
O2 0.025 0.000 0.330 [2 per cell]
O3 0.032 0.000 0.822 [2 per cell]
O4 0.037 0.500 0.350 [2 per cell]
O5 0.113 0.236 0.614 [4 per cell]
O6 0.178 0.000 0.116 [2 per cell]
O7 0.184 0.500 0.116 [2 per cell]
O8 0.257 0.271 0.353 [4 per cell]
O9 0.285 0.215 0.867 [4 per cell]
O10 0.355 0.000 0.623 [2 per cell]
O11 0.357 0.500 0.609 [2 per cell]
O12 0.447 0.253 0.113 [4 per cell]

(2)
For Li9Si2Ni5O16, the PBE+U geometry in the Materials Project gives the calculated PXRD pattern in this record (a wavelength of 1.5418 Å).
No peak broadening, texture or thermal motion is included.

Most intense lines, 15° ≤ 2θ ≤ 90°, by angle:
2θ (°)  d [Å]  I_rel  h k l
18.7  4.754  100  0 1 1
36.9  2.439  23  1 0 4
37.3  2.411  11  2 0 0
38.6  2.331  7  1 -1 3
44.5  2.038  53  1 1 5
45.1  2.009  25  -2 1 1
58.5  1.577  10  1 2 6
64.2  1.450  7  2 3 3
64.6  1.443  7  1 -3 1
65.8  1.419  13  3 1 -3

Structure:
Unit cell a=4.903 b=5.043 c=11.120 alpha=80.82 beta=85.47 gamma=80.03
Space group P-1 (No. 2)
Asymmetric unit:
Li1 0.000 0.000 0.000 [1 per cell]
Li2 0.239 0.687 0.816 [2 per cell]
Li3 0.241 0.448 0.060 [2 per cell]
Li4 0.243 0.192 0.314 [2 per cell]
Li5 0.257 0.943 0.563 [2 per cell]
Si1 0.499 0.882 0.120 [2 per cell]
Ni1 0.000 0.242 0.757 [2 per cell]
Ni2 0.000 0.500 0.500 [1 per cell]
Ni3 0.499 0.628 0.373 [2 per cell]
O1 0.108 0.834 0.392 [2 per cell]
O2 0.113 0.559 0.666 [2 per cell]
O3 0.158 0.318 0.898 [2 per cell]
O4 0.159 0.060 0.156 [2 per cell]
O5 0.356 0.296 0.470 [2 per cell]
O6 0.365 0.041 0.744 [2 per cell]
O7 0.365 0.586 0.203 [2 per cell]
O8 0.407 0.814 0.974 [2 per cell]

(3)
For Li2Si4Ni5O14, the PBE+U geometry in the Materials Project gives the calculated PXRD pattern in this record (a wavelength of 1.5418 Å).
No peak broadening, texture or thermal motion is included.

Most intense lines, 15° ≤ 2θ ≤ 90°, by angle:
2θ (°)  d [Å]  I_rel  h k l
26.6  3.355  64  1 2 0
28.7  3.109  41  1 -1 3
31.0  2.882  75  1 2 -2
33.6  2.668  100  0 1 5
35.9  2.504  45  2 1 3
37.8  2.382  33  1 -1 5
39.0  2.312  23  2 0 -2
50.7  1.799  20  0 3 -5
57.2  1.610  21  -1 3 5
59.4  1.557  22  2 2 8

Structure:
Unit cell a=5.411 b=7.436 c=14.392 alpha=85.54 beta=79.94 gamma=75.56
Space group P-1 (No. 2)
Asymmetric unit:
Li1 0.230 0.120 0.269 [2 per cell]
Li2 0.239 0.626 0.774 [2 per cell]
Si1 0.197 0.514 0.200 [2 per cell]
Si2 0.211 0.021 0.694 [2 per cell]
Si3 0.490 0.294 0.430 [2 per cell]
Si4 0.491 0.787 0.933 [2 per cell]
Ni1 0.000 0.000 0.500 [1 per cell]
Ni2 0.000 0.500 0.000 [1 per cell]
Ni3 0.081 0.997 0.096 [2 per cell]
Ni4 0.098 0.557 0.581 [2 per cell]
Ni5 0.355 0.726 0.351 [2 per cell]
Ni6 0.374 0.235 0.852 [2 per cell]
O1 0.029 0.941 0.367 [2 per cell]
O2 0.040 0.454 0.863 [2 per cell]
O3 0.112 0.392 0.293 [2 per cell]
O4 0.114 0.897 0.785 [2 per cell]
O5 0.185 0.844 0.981 [2 per cell]
O6 0.201 0.349 0.490 [2 per cell]
O7 0.286 0.703 0.216 [2 per cell]
O8 0.288 0.759 0.499 [2 per cell]
O9 0.322 0.193 0.719 [2 per cell]
O10 0.325 0.296 0.988 [2 per cell]
O11 0.412 0.037 0.127 [2 per cell]
O12 0.426 0.538 0.640 [2 per cell]
O13 0.469 0.380 0.143 [2 per cell]
O14 0.478 0.891 0.632 [2 per cell]

(4)
For Li2SiNiO4, the PBE+U geometry in the Materials Project gives the calculated PXRD pattern in this record (a wavelength of 1.5418 Å).
No peak broadening, texture or thermal motion is included.

Most intense lines, 15° ≤ 2θ ≤ 90°, by angle:
2θ (°)  d [Å]  I_rel  h k l
21.9  4.053  100  1 0 1
24.5  3.630  13  1 1 0
27.5  3.239  14  -1 1 1
32.6  2.745  20  1 0 -2
32.7  2.737  21  0 1 2
34.4  2.607  48  2 0 0
47.7  1.906  12  -2 1 2
57.2  1.611  15  0 0 4
60.4  1.532  14  0 3 -2
60.6  1.528  14  0 3 2

Structure:
Unit cell a=5.215 b=5.219 c=6.444 alpha=90.23 beta=90.12 gamma=91.80
Space group P1 (No. 1)
Asymmetric unit:
Li1 0.000 0.000 0.000 [1 per cell]
Li2 0.125 0.500 0.748 [1 per cell]
Li3 0.498 0.128 0.248 [1 per cell]
Li4 0.625 0.626 0.496 [1 per cell]
Si1 0.634 0.638 0.996 [1 per cell]
Si2 0.988 0.991 0.499 [1 per cell]
Ni1 0.128 0.497 0.247 [1 per cell]
Ni2 0.495 0.131 0.748 [1 per cell]
O1 0.022 0.676 0.500 [1 per cell]
O2 0.114 0.117 0.713 [1 per cell]
O3 0.117 0.117 0.288 [1 per cell]
O4 0.508 0.509 0.208 [1 per cell]
O5 0.508 0.512 0.783 [1 per cell]
O6 0.599 0.952 0.001 [1 per cell]
O7 0.674 0.025 0.495 [1 per cell]
O8 0.949 0.605 0.995 [1 per cell]

(5)
For Li10Si2NiO10, the PBE+U geometry in the Materials Project gives the calculated PXRD pattern in this record (a wavelength of 1.5418 Å).
No peak broadening, texture or thermal motion is included.

Most intense lines, 15° ≤ 2θ ≤ 90°, by angle:
2θ (°)  d [Å]  I_rel  h k l
17.3  5.114  26  2 0 -1
19.4  4.586  44  4 0 -1
20.9  4.257  50  5 1 0
22.5  3.958  100  1 1 -1
22.8  3.895  23  6 0 -1
29.2  3.057  23  0 2 0
33.0  2.712  27  7 1 1
34.5  2.598  48  2 0 -2
36.4  2.469  23  12 0 0
49.5  1.840  25  4 2 2

Structure:
Unit cell a=30.071 b=6.114 c=5.193 alpha=90.00 beta=99.60 gamma=90.00
Space group C2/m (No. 12)
Asymmetric unit:
Li1 0.009 0.000 0.260 [4 per cell]
Li2 0.067 0.209 0.897 [8 per cell]
Li3 0.131 0.283 0.241 [8 per cell]
Li4 0.132 0.500 0.780 [4 per cell]
Li5 0.176 0.000 0.931 [4 per cell]
Li6 0.195 0.257 0.601 [8 per cell]
Li7 0.231 0.000 0.324 [4 per cell]
Si1 0.100 0.000 0.509 [4 per cell]
Si2 0.219 0.500 0.129 [4 per cell]
Ni1 0.038 0.500 0.157 [4 per cell]
O1 0.000 0.261 0.000 [4 per cell]
O2 0.050 0.000 0.604 [4 per cell]
O3 0.093 0.500 0.049 [4 per cell]
O4 0.095 0.000 0.185 [4 per cell]
O5 0.129 0.216 0.624 [8 per cell]
O6 0.194 0.275 0.218 [8 per cell]
O7 0.214 0.500 0.809 [4 per cell]
O8 0.228 0.000 0.719 [4 per cell]

(6)
For Li2SiNiO4, the PBE+U geometry in the Materials Project gives the calculated PXRD pattern in this record (a wavelength of 1.5418 Å).
No peak broadening, texture or thermal motion is included.

Most intense lines, 15° ≤ 2θ ≤ 90°, by angle:
2θ (°)  d [Å]  I_rel  h k l
21.7  4.087  100  1 1 -2
22.2  4.004  91  1 1 2
24.4  3.655  26  0 2 0
27.7  3.226  16  2 0 2
32.9  2.725  36  1 1 -4
33.5  2.676  47  1 1 4
33.9  2.643  88  2 2 0
58.8  1.570  16  0 0 8
59.6  1.551  28  3 3 -4
60.8  1.523  28  3 3 4

Structure:
Unit cell a=7.659 b=7.310 c=12.569 alpha=90.00 beta=91.72 gamma=90.00
Space group C2 (No. 5)
Asymmetric unit:
Li1 0.000 0.000 0.000 [2 per cell]
Li2 0.000 0.001 0.500 [2 per cell]
Li3 0.002 0.637 0.750 [4 per cell]
Li4 0.186 0.316 0.120 [4 per cell]
Li5 0.189 0.318 0.621 [4 per cell]
Si1 0.000 0.640 0.000 [2 per cell]
Si2 0.000 0.642 0.500 [2 per cell]
Si3 0.002 0.995 0.750 [4 per cell]
Ni1 0.177 0.320 0.370 [4 per cell]
Ni2 0.180 0.321 0.870 [4 per cell]
O1 0.000 0.512 0.108 [4 per cell]
O2 0.001 0.122 0.858 [4 per cell]
O3 0.002 0.512 0.608 [4 per cell]
O4 0.003 0.123 0.642 [4 per cell]
O5 0.167 0.855 0.252 [4 per cell]
O6 0.171 0.779 0.003 [4 per cell]
O7 0.172 0.780 0.503 [4 per cell]
O8 0.172 0.854 0.752 [4 per cell]